The following is a theoretical powder diffractogram of Ba8Zn2Cd. It was derived from a cell relaxed with PBE, using Cu Kα X-rays.

Main lines, low angle first (5 to 70 degrees two-theta):
- 2θ 22.1, I 57
- 2θ 24.8, I 81
- 2θ 25.0, I 52
- 2θ 26.2, I 52
- 2θ 26.6, I 92
- 2θ 26.9, I 100
- 2θ 29.1, I 45
- 2θ 29.3, I 61
- 2θ 31.8, I 50
- 2θ 32.4, I 60

Crystal structure
a = 9.285 Å, b = 9.285 Å, c = 6.991 Å
α = 99.14°, β = 99.14°, γ = 110.61°
Element x y z (fractional)
Ba 0.000 0.000 0.000
Ba 0.034 0.299 0.599
Ba 0.138 0.598 0.199
Ba 0.299 0.034 0.599
Ba 0.430 0.699 0.797
Ba 0.598 0.138 0.199
Ba 0.699 0.430 0.797
Ba 0.727 0.727 0.385
Zn 0.051 0.679 0.695
Zn 0.679 0.051 0.695
Cd 0.361 0.361 0.051